Record 1
Diffraction record for Tb12Pr2Y. The PXRD pattern is simulated, not measured: it uses a crystal structure in Alexandria, relaxed with GGA-PBE and CuKα.

```
Tb12Pr2Y
1.0
6.458 0.000 0.000
0.000 6.458 0.000
0.000 0.000 25.147
Tb Pr Y
24 4 2
Direct
0.063 0.563 0.116
0.063 0.937 0.884
0.082 0.582 0.560
0.082 0.918 0.440
0.250 0.250 0.215
0.250 0.250 0.340
0.250 0.250 0.660
0.250 0.250 0.785
0.418 0.582 0.440
0.418 0.918 0.560
0.437 0.563 0.884
0.437 0.937 0.116
0.563 0.063 0.884
0.563 0.437 0.116
0.582 0.082 0.440
0.582 0.418 0.560
0.750 0.750 0.215
0.750 0.750 0.340
0.750 0.750 0.660
0.750 0.750 0.785
0.918 0.082 0.560
0.918 0.418 0.440
0.937 0.063 0.116
0.937 0.437 0.884
0.250 0.750 0.269
0.250 0.750 0.731
0.750 0.250 0.269
0.750 0.250 0.731
0.250 0.750 0.000
0.750 0.250 0.000
```

The 10 most intense peaks (2θ from 5° to 70°), in order of rising 2θ:
| two_theta | I_rel |
| --- | --- |
| 28.54 | 97 |
| 29.65 | 55 |
| 31.14 | 58 |
| 31.69 | 96 |
| 31.79 | 100 |
| 32.03 | 61 |
| 34.17 | 49 |
| 35.85 | 55 |
| 39.47 | 58 |
| 55.76 | 61 |

=====

Record 2
Diffraction record for Tb6Pr2Y. The PXRD pattern is simulated, not measured: it uses a crystal structure in Alexandria, relaxed with GGA-PBE and CuKα.

```
Tb6Pr2Y
1.0
4.917 -8.529 0.000
4.917 8.529 0.000
0.000 0.000 3.518
Tb Pr Y
6 2 1
Direct
0.000 0.331 0.000
0.000 0.669 0.000
0.331 0.000 0.000
0.331 0.331 0.000
0.669 0.000 0.000
0.669 0.669 0.000
0.333 0.667 0.500
0.667 0.333 0.500
0.000 0.000 0.500
```

The 10 most intense peaks (2θ from 5° to 70°), in order of rising 2θ:
| two_theta | I_rel |
| --- | --- |
| 25.32 | 11 |
| 31.26 | 84 |
| 31.49 | 100 |
| 40.83 | 19 |
| 44.96 | 31 |
| 52.00 | 8 |
| 55.92 | 32 |
| 56.07 | 19 |
| 62.07 | 29 |
| 65.74 | 12 |

=====

Record 3
Diffraction record for TbPr2Y3. The PXRD pattern is simulated, not measured: it uses a crystal structure in Alexandria, relaxed with GGA-PBE and CuKα.

```
TbPr2Y3
1.0
7.049 0.000 0.000
0.000 16.577 0.000
0.000 0.000 3.514
Tb Pr Y
2 4 6
Direct
0.000 0.000 0.000
0.500 0.500 0.500
0.249 0.345 0.000
0.251 0.845 0.500
0.749 0.155 0.500
0.751 0.655 0.000
0.000 0.500 0.500
0.249 0.158 0.500
0.251 0.658 0.000
0.500 0.000 0.000
0.749 0.342 0.000
0.751 0.842 0.500
```

The 10 most intense peaks (2θ from 5° to 70°), in order of rising 2θ:
| two_theta | I_rel |
| --- | --- |
| 27.50 | 46 |
| 30.14 | 100 |
| 32.40 | 38 |
| 33.37 | 51 |
| 36.51 | 62 |
| 45.58 | 15 |
| 53.41 | 32 |
| 56.40 | 14 |
| 61.18 | 26 |
| 63.25 | 16 |

=====

Record 4
Diffraction record for TbPr5Y5. The PXRD pattern is simulated, not measured: it uses a crystal structure in Alexandria, relaxed with GGA-PBE and CuKα.

```
TbPr5Y5
1.0
6.179 0.000 0.000
-3.089 5.351 0.000
0.000 0.000 11.926
Tb Pr Y
1 5 5
Direct
0.000 0.000 0.000
0.000 0.000 0.314
0.000 0.000 0.686
0.333 0.667 0.152
0.333 0.667 0.848
0.667 0.333 0.000
0.000 0.500 0.500
0.500 0.000 0.500
0.500 0.500 0.500
0.667 0.333 0.263
0.667 0.333 0.737
```

The 10 most intense peaks (2θ from 5° to 70°), in order of rising 2θ:
| two_theta | I_rel |
| --- | --- |
| 27.96 | 100 |
| 28.90 | 90 |
| 29.89 | 41 |
| 34.40 | 44 |
| 36.84 | 28 |
| 45.55 | 20 |
| 50.64 | 39 |
| 51.21 | 18 |
| 54.88 | 22 |
| 59.88 | 22 |

=====

Record 5
Diffraction record for Tb2Pr12Y. The PXRD pattern is simulated, not measured: it uses a crystal structure in Alexandria, relaxed with GGA-PBE and CuKα.

```
Tb2Pr12Y
1.0
6.625 0.000 0.000
0.000 6.625 0.000
0.000 0.000 25.823
Tb Pr Y
4 24 2
Direct
0.250 0.750 0.229
0.250 0.750 0.771
0.750 0.250 0.229
0.750 0.250 0.771
0.067 0.567 0.386
0.067 0.933 0.614
0.082 0.582 0.937
0.082 0.918 0.063
0.250 0.250 0.163
0.250 0.250 0.285
0.250 0.250 0.715
0.250 0.250 0.837
0.418 0.582 0.063
0.418 0.918 0.937
0.433 0.567 0.614
0.433 0.933 0.386
0.567 0.067 0.614
0.567 0.433 0.386
0.582 0.082 0.063
0.582 0.418 0.937
0.750 0.750 0.163
0.750 0.750 0.285
0.750 0.750 0.715
0.750 0.750 0.837
0.918 0.082 0.937
0.918 0.418 0.063
0.933 0.067 0.386
0.933 0.433 0.614
0.250 0.750 0.500
0.750 0.250 0.500
```

The 10 most intense peaks (2θ from 5° to 70°), in order of rising 2θ:
| two_theta | I_rel |
| --- | --- |
| 27.80 | 100 |
| 28.88 | 51 |
| 30.33 | 62 |
| 30.85 | 96 |
| 30.97 | 96 |
| 31.17 | 51 |
| 33.27 | 47 |
| 34.91 | 46 |
| 38.43 | 56 |
| 54.21 | 64 |

=====

Record 6
Diffraction record for Tb3Pr6Y2. The PXRD pattern is simulated, not measured: it uses a crystal structure in Alexandria, relaxed with GGA-PBE and CuKα.

```
Tb3Pr6Y2
1.0
6.321 0.000 0.000
-2.090 7.856 0.000
-1.048 -2.805 7.601
Tb Pr Y
3 6 2
Direct
0.000 0.000 0.000
0.090 0.362 0.818
0.910 0.638 0.182
0.179 0.728 0.635
0.364 0.454 0.270
0.453 0.818 0.091
0.547 0.182 0.909
0.636 0.546 0.730
0.821 0.272 0.365
0.271 0.089 0.454
0.729 0.911 0.546
```

The 10 most intense peaks (2θ from 5° to 70°), in order of rising 2θ:
| two_theta | I_rel |
| --- | --- |
| 30.00 | 100 |
| 34.73 | 34 |
| 34.89 | 17 |
| 49.88 | 6 |
| 50.01 | 24 |
| 59.30 | 11 |
| 59.40 | 18 |
| 59.52 | 7 |
| 59.62 | 7 |
| 62.40 | 9 |

=====

Record 7
Diffraction record for Tb2Pr5Y12. The PXRD pattern is simulated, not measured: it uses a crystal structure in Alexandria, relaxed with GGA-PBE and CuKα.

```
Tb2Pr5Y12
1.0
6.839 0.000 0.000
2.886 6.228 0.000
2.522 -0.579 15.052
Tb Pr Y
2 5 12
Direct
0.237 0.008 0.031
0.763 0.992 0.969
0.076 0.554 0.383
0.266 0.501 0.965
0.500 0.500 0.500
0.734 0.499 0.035
0.924 0.446 0.617
0.061 0.232 0.827
0.111 0.068 0.421
0.114 0.720 0.758
0.379 0.983 0.616
0.416 0.760 0.242
0.419 0.258 0.183
0.581 0.742 0.817
0.584 0.240 0.758
0.621 0.017 0.384
0.886 0.280 0.242
0.889 0.932 0.579
0.939 0.768 0.173
```

The 10 most intense peaks (2θ from 5° to 70°), in order of rising 2θ:
| two_theta | I_rel |
| --- | --- |
| 28.38 | 41 |
| 29.67 | 23 |
| 29.92 | 35 |
| 30.78 | 21 |
| 31.06 | 46 |
| 31.21 | 20 |
| 31.58 | 100 |
| 31.88 | 47 |
| 33.34 | 55 |
| 51.87 | 20 |

=====

Record 8
Diffraction record for Tb3Pr9Y2. The PXRD pattern is simulated, not measured: it uses a crystal structure in Alexandria, relaxed with GGA-PBE and CuKα.

```
Tb3Pr9Y2
1.0
9.117 0.000 0.000
-4.559 7.896 0.000
0.000 0.000 14.204
Tb Pr Y
6 18 4
Direct
0.079 0.249 0.250
0.170 0.921 0.250
0.249 0.170 0.750
0.751 0.830 0.250
0.830 0.079 0.750
0.921 0.751 0.750
0.079 0.482 0.750
0.132 0.727 0.543
0.132 0.727 0.957
0.273 0.405 0.543
0.273 0.405 0.957
0.402 0.921 0.750
0.405 0.132 0.043
0.405 0.132 0.457
0.482 0.402 0.250
0.518 0.598 0.750
0.595 0.868 0.543
0.595 0.868 0.957
0.598 0.079 0.250
0.727 0.595 0.043
0.727 0.595 0.457
0.868 0.273 0.043
0.868 0.273 0.457
0.921 0.518 0.250
0.333 0.667 0.142
0.333 0.667 0.358
0.667 0.333 0.642
0.667 0.333 0.858
```

The 10 most intense peaks (2θ from 5° to 70°), in order of rising 2θ:
| two_theta | I_rel |
| --- | --- |
| 25.08 | 32 |
| 29.46 | 42 |
| 30.61 | 69 |
| 32.55 | 100 |
| 33.53 | 21 |
| 35.56 | 29 |
| 52.78 | 18 |
| 53.16 | 29 |
| 59.65 | 18 |
| 60.66 | 21 |

=====

Record 9
Diffraction record for Tb3PrY5. The PXRD pattern is simulated, not measured: it uses a crystal structure in Alexandria, relaxed with GGA-PBE and CuKα.

```
Tb3PrY5
1.0
9.585 -3.047 0.000
9.585 3.047 0.000
-4.445 0.000 10.514
Tb Pr Y
6 2 10
Direct
0.000 0.000 0.000
0.000 0.000 0.500
0.057 0.587 0.635
0.413 0.943 0.865
0.587 0.057 0.135
0.943 0.413 0.365
0.071 0.929 0.750
0.929 0.071 0.250
0.088 0.575 0.970
0.091 0.583 0.303
0.417 0.909 0.197
0.425 0.912 0.530
0.435 0.565 0.250
0.565 0.435 0.750
0.575 0.088 0.470
0.583 0.091 0.803
0.909 0.417 0.697
0.912 0.425 0.030
```

The 10 most intense peaks (2θ from 5° to 70°), in order of rising 2θ:
| two_theta | I_rel |
| --- | --- |
| 15.38 | 40 |
| 28.10 | 54 |
| 29.27 | 23 |
| 30.37 | 100 |
| 31.06 | 90 |
| 31.52 | 92 |
| 31.71 | 67 |
| 35.82 | 46 |
| 37.88 | 24 |
| 51.10 | 24 |

=====

Record 10
Diffraction record for TbPr4Y7. The PXRD pattern is simulated, not measured: it uses a crystal structure in Alexandria, relaxed with GGA-PBE and CuKα.

```
TbPr4Y7
1.0
6.623 0.000 0.000
0.987 6.845 0.000
2.031 0.493 8.948
Tb Pr Y
1 4 7
Direct
0.000 0.000 0.000
0.166 0.617 0.305
0.357 0.183 0.717
0.643 0.817 0.283
0.834 0.383 0.695
0.000 0.500 0.000
0.183 0.108 0.379
0.325 0.690 0.639
0.491 0.248 0.048
0.509 0.752 0.952
0.675 0.310 0.361
0.817 0.892 0.621
```

The 10 most intense peaks (2θ from 5° to 70°), in order of rising 2θ:
| two_theta | I_rel |
| --- | --- |
| 29.96 | 38 |
| 30.69 | 40 |
| 31.20 | 100 |
| 31.58 | 60 |
| 31.80 | 36 |
| 32.07 | 16 |
| 42.66 | 12 |
| 44.90 | 13 |
| 45.97 | 13 |
| 56.02 | 19 |

=====

Record 11
Diffraction record for Tb5PrY12. The PXRD pattern is simulated, not measured: it uses a crystal structure in Alexandria, relaxed with GGA-PBE and CuKα.

```
Tb5PrY12
1.0
7.581 -7.592 0.000
7.581 7.592 0.000
0.000 0.000 5.056
Tb Pr Y
5 1 12
Direct
0.000 0.000 0.000
0.166 0.834 0.500
0.332 0.668 0.000
0.668 0.332 0.000
0.834 0.166 0.500
0.500 0.500 0.500
0.001 0.668 0.000
0.166 0.166 0.500
0.166 0.501 0.500
0.332 0.999 0.000
0.333 0.333 0.000
0.499 0.834 0.500
0.501 0.166 0.500
0.667 0.667 0.000
0.668 0.001 0.000
0.834 0.499 0.500
0.834 0.834 0.500
0.999 0.332 0.000
```

The 10 most intense peaks (2θ from 5° to 70°), in order of rising 2θ:
| two_theta | I_rel |
| --- | --- |
| 11.67 | 8 |
| 23.47 | 2 |
| 25.59 | 5 |
| 30.62 | 100 |
| 35.50 | 50 |
| 37.49 | 2 |
| 38.94 | 2 |
| 51.09 | 35 |
| 60.74 | 41 |
| 63.75 | 12 |